# NbNiSbRh
Theoretical powder XRD pattern, copper Kα. Input: the GGA-PBE geometry in Alexandria.
No peak broadening, texture or thermal motion is included.

Peak list (10 most intense, 2θ = 10–90°, by angle)
24.3°, 3.670 Å, I = 4; 28.1°, 3.178 Å, I = 2; 40.1°, 2.247 Å, I = 100; 47.4°, 1.917 Å, I = 2; 58.0°, 1.589 Å, I = 16; 63.8°, 1.458 Å, I = 1; 65.7°, 1.421 Å, I = 1; 72.9°, 1.297 Å, I = 33; 78.1°, 1.223 Å, I = 1; 86.6°, 1.124 Å, I = 10

Cell and atoms:
Cell lengths 4.4946, 4.4946, 4.4946 Å; angles 60.00, 60.00, 60.00 degrees
Fractional coordinates of all 4 atoms:
Nb1 0.0000 0.0000 0.0000
Ni1 0.2500 0.2500 0.2500
Sb1 0.5000 0.5000 0.5000
Rh1 0.7500 0.7500 0.7500

# PmSnPRh2
Theoretical powder XRD pattern, copper Kα. Input: the GGA-PBE geometry in Alexandria.
No peak broadening, texture or thermal motion is included.

Peak list (10 most intense, 2θ = 10–90°, by angle)
13.8°, 6.422 Å, I = 53; 25.3°, 3.522 Å, I = 25; 33.2°, 2.702 Å, I = 100; 35.1°, 2.554 Å, I = 36; 41.3°, 2.184 Å, I = 36; 42.9°, 2.106 Å, I = 46; 47.7°, 1.908 Å, I = 18; 56.7°, 1.625 Å, I = 18; 66.1°, 1.414 Å, I = 17; 72.5°, 1.304 Å, I = 21

Cell and atoms:
Cell lengths 4.2121, 4.2121, 6.4222 Å; angles 90.00, 90.00, 90.00 degrees
Fractional coordinates of all 5 atoms:
Pm1 0.0000 0.0000 0.0000
Sn1 0.5000 0.5000 0.1637
P1 0.0000 0.0000 0.5692
Rh1 0.0000 0.5000 0.4246
Rh2 0.5000 0.0000 0.4246

# NbCoI
Theoretical powder XRD pattern, copper Kα. Input: the GGA-PBE geometry in Alexandria.
No peak broadening, texture or thermal motion is included.

Peak list (10 most intense, 2θ = 10–90°, by angle)
28.9°, 3.093 Å, I = 43; 30.0°, 2.976 Å, I = 12; 33.3°, 2.691 Å, I = 7; 38.2°, 2.357 Å, I = 100; 50.1°, 1.821 Å, I = 6; 51.2°, 1.786 Å, I = 37; 58.9°, 1.569 Å, I = 10; 65.6°, 1.423 Å, I = 19; 74.4°, 1.275 Å, I = 11; 87.7°, 1.113 Å, I = 18

Cell and atoms:
Cell lengths 3.5717, 3.5717, 10.9232 Å; angles 90.00, 90.00, 120.00 degrees
Fractional coordinates of all 6 atoms:
Nb1 0.0000 0.0000 0.1303
Nb2 0.0000 0.0000 0.8697
Co1 0.0000 0.0000 0.5000
Co2 0.3333 0.6667 0.0000
I1 0.3333 0.6667 0.3324
I2 0.3333 0.6667 0.6676

# KTbAg2F6
Theoretical powder XRD pattern, copper Kα. Input: the GGA-PBE geometry in Alexandria.
No peak broadening, texture or thermal motion is included.

Peak list (10 most intense, 2θ = 10–90°, by angle)
16.4°, 5.408 Å, I = 15; 17.2°, 5.151 Å, I = 38; 19.7°, 4.514 Å, I = 20; 27.4°, 3.250 Å, I = 100; 28.5°, 3.136 Å, I = 91; 33.0°, 2.713 Å, I = 20; 39.9°, 2.257 Å, I = 43; 44.2°, 2.048 Å, I = 37; 49.8°, 1.831 Å, I = 29; 50.4°, 1.811 Å, I = 33

Cell and atoms:
Cell lengths 6.2667, 6.2747, 6.5036 Å; angles 90.00, 118.78, 119.93 degrees
Fractional coordinates of all 10 atoms:
K1 0.0000 0.0000 0.0000
Tb1 0.9870 0.4937 0.4800
Ag1 0.5572 0.2784 0.8354
Ag2 0.5615 0.7817 0.3430
F1 0.0841 0.4146 0.2126
F2 0.0959 0.2395 0.6745
F3 0.4358 0.8555 0.6737
F4 0.5442 0.1307 0.2138
F5 0.7993 0.6711 0.2147
F6 0.8217 0.5801 0.6774

# Tb5Sb2O12
Theoretical powder XRD pattern, copper Kα. Input: the GGA-PBE geometry in Alexandria.
No peak broadening, texture or thermal motion is included.

Peak list (10 most intense, 2θ = 10–90°, by angle)
26.6°, 3.346 Å, I = 90; 28.2°, 3.167 Å, I = 100; 29.8°, 3.002 Å, I = 24; 32.0°, 2.800 Å, I = 48; 32.9°, 2.719 Å, I = 82; 41.4°, 2.179 Å, I = 23; 44.7°, 2.029 Å, I = 23; 49.2°, 1.853 Å, I = 22; 51.3°, 1.782 Å, I = 31; 54.6°, 1.681 Å, I = 32

Cell and atoms:
Cell lengths 6.9873, 6.9873, 7.4131 Å; angles 105.51, 105.51, 51.70 degrees
Fractional coordinates of all 19 atoms:
Tb1 0.0000 0.0000 0.0000
Tb2 0.2971 0.2971 0.1354
Tb3 0.3041 0.3041 0.6715
Tb4 0.6959 0.6959 0.3285
Tb5 0.7029 0.7029 0.8646
Sb1 0.2457 0.7543 0.5000
Sb2 0.7543 0.2457 0.5000
O1 0.0010 0.0010 0.3115
O2 0.0963 0.5976 0.9274
O3 0.1007 0.5632 0.4128
O4 0.4024 0.9037 0.0726
O5 0.4368 0.8993 0.5872
O6 0.4985 0.4985 0.6907
O7 0.5015 0.5015 0.3093
O8 0.5632 0.1007 0.4128
O9 0.5976 0.0963 0.9274
O10 0.8993 0.4368 0.5872
O11 0.9037 0.4024 0.0726
O12 0.9990 0.9990 0.6885

# Li5La4Hg6
Theoretical powder XRD pattern, copper Kα. Input: the GGA-PBE geometry in Alexandria.
No peak broadening, texture or thermal motion is included.

Peak list (10 most intense, 2θ = 10–90°, by angle)
22.6°, 3.930 Å, I = 31; 23.7°, 3.758 Å, I = 29; 26.6°, 3.346 Å, I = 41; 27.7°, 3.223 Å, I = 29; 29.8°, 2.994 Å, I = 25; 31.6°, 2.834 Å, I = 33; 33.1°, 2.706 Å, I = 100; 35.8°, 2.511 Å, I = 25; 36.9°, 2.439 Å, I = 53; 37.3°, 2.413 Å, I = 32

Cell and atoms:
Cell lengths 11.5339, 11.5339, 14.0931 Å; angles 90.00, 90.00, 155.58 degrees
Fractional coordinates of all 30 atoms:
Li1 0.0329 0.9671 0.5000
Li2 0.1613 0.8387 0.4669
Li3 0.1628 0.8372 0.8269
Li4 0.1938 0.8062 0.1344
Li5 0.3161 0.6839 0.4963
Li6 0.6839 0.3161 0.9963
Li7 0.8062 0.1938 0.6344
Li8 0.8372 0.1628 0.3269
Li9 0.8387 0.1613 0.9669
Li10 0.9671 0.0329 0.0000
La1 0.3194 0.6806 0.8086
La2 0.3633 0.6367 0.1466
La3 0.4494 0.5506 0.3610
La4 0.4542 0.5458 0.6364
La5 0.5458 0.4542 0.1364
La6 0.5506 0.4494 0.8610
La7 0.6367 0.3633 0.6466
La8 0.6806 0.3194 0.3086
Hg1 0.0489 0.9511 0.7057
Hg2 0.0798 0.9202 0.2966
Hg3 0.1025 0.8975 0.0030
Hg4 0.2314 0.7686 0.6333
Hg5 0.2719 0.7281 0.3194
Hg6 0.4244 0.5756 0.9510
Hg7 0.5756 0.4244 0.4510
Hg8 0.7281 0.2719 0.8194
Hg9 0.7686 0.2314 0.1333
Hg10 0.8975 0.1025 0.5030
Hg11 0.9202 0.0798 0.7966
Hg12 0.9511 0.0489 0.2057